Diffraction record for NiSe. The X-ray powder pattern is computed, not measured: it uses a cell relaxed with GGA-PBE and Cu Kα, 1.54184 Å.
Lines closer than 0.1° are merged.

Principal peaks in the range 15° ≤ 2θ ≤ 90°, in order of falling intensity:
2θ (°)	I/Imax
46.5	100
31.0	98
33.8	82
38.5	74
55.1	46
50.2	37

Atomic structure:
a = 5.8829 Å, b = 5.8829 Å, c = 5.8829 Å
α = 116.49°, β = 116.49°, γ = 116.49°
Sites, in units of the cell vectors:
Ni 0.0856 0.0856 0.8288
Ni 0.0856 0.8288 0.0856
Ni 0.8288 0.0856 0.0856
Se 0.3679 0.3679 0.7069
Se 0.3679 0.7069 0.3679
Se 0.7069 0.3679 0.3679


Diffraction record for RuIBr4. The X-ray powder pattern is computed, not measured: it uses a cell relaxed with GGA-PBE and Cu Kα, 1.54184 Å.
Lines closer than 0.1° are merged.

Principal peaks in the range 15° ≤ 2θ ≤ 90°, in order of falling intensity:
2θ (°)	I/Imax
15.9	100
33.0	54
32.0	47
27.4	37
44.0	28
21.8	27

Atomic structure:
a = 6.7855 Å, b = 6.7855 Å, c = 6.7855 Å
α = 111.13°, β = 111.13°, γ = 106.19°
Sites, in units of the cell vectors:
Ru 0.0000 0.0000 0.0000
I 0.7500 0.2500 0.5000
Br 0.2220 0.2191 0.4459
Br 0.2239 0.7780 0.9971
Br 0.7733 0.7761 0.5541
Br 0.7809 0.2267 0.0029


Diffraction record for Dy6BiSb5. The X-ray powder pattern is computed, not measured: it uses a cell relaxed with GGA-PBE and Cu Kα, 1.54184 Å.
Lines closer than 0.1° are merged.

Principal peaks in the range 15° ≤ 2θ ≤ 90°, in order of falling intensity:
2θ (°)	I/Imax
28.7	100
41.0	76
67.3	35
50.9	27
74.8	26
59.4	13

Atomic structure:
a = 7.6198 Å, b = 7.6198 Å, c = 7.6134 Å
α = 99.59°, β = 99.59°, γ = 120.00°
Sites, in units of the cell vectors:
Dy 0.0786 0.4159 0.7477
Dy 0.2465 0.2465 0.2513
Dy 0.4159 0.0786 0.7477
Dy 0.5841 0.9214 0.2523
Dy 0.7535 0.7535 0.7487
Dy 0.9214 0.5841 0.2523
Bi 0.5000 0.5000 0.0000
Sb 0.0000 0.0000 0.5000
Sb 0.1668 0.8332 0.0000
Sb 0.3347 0.6653 0.5000
Sb 0.6653 0.3347 0.5000
Sb 0.8332 0.1668 0.0000


Diffraction record for La5Pr4Nd2. The X-ray powder pattern is computed, not measured: it uses a cell relaxed with GGA-PBE and Cu Kα, 1.54184 Å.
Lines closer than 0.1° are merged.

Principal peaks in the range 15° ≤ 2θ ≤ 90°, in order of falling intensity:
2θ (°)	I/Imax
29.5	100
29.6	54
31.1	48
60.3	29
35.7	26
48.0	21

Atomic structure:
a = 12.5241 Å, b = 12.5241 Å, c = 9.1330 Å
α = 96.70°, β = 96.70°, γ = 16.37°
Sites, in units of the cell vectors:
La 0.0000 0.0000 0.0000
La 0.2694 0.2694 0.1746
La 0.3594 0.3594 0.8887
La 0.6406 0.6406 0.1113
La 0.7306 0.7306 0.8254
Pr 0.1781 0.1781 0.4722
Pr 0.4536 0.4536 0.6374
Pr 0.5464 0.5464 0.3626
Pr 0.8219 0.8219 0.5278
Nd 0.4089 0.4089 0.2700
Nd 0.5911 0.5911 0.7300


Repeat the third record exactly.
Diffraction record for Dy6BiSb5. The X-ray powder pattern is computed, not measured: it uses a cell relaxed with GGA-PBE and Cu Kα, 1.54184 Å.
Lines closer than 0.1° are merged.

Principal peaks in the range 15° ≤ 2θ ≤ 90°, in order of falling intensity:
2θ (°)	I/Imax
28.7	100
41.0	76
67.3	35
50.9	27
74.8	26
59.4	13

Atomic structure:
a = 7.6198 Å, b = 7.6198 Å, c = 7.6134 Å
α = 99.59°, β = 99.59°, γ = 120.00°
Sites, in units of the cell vectors:
Dy 0.0786 0.4159 0.7477
Dy 0.2465 0.2465 0.2513
Dy 0.4159 0.0786 0.7477
Dy 0.5841 0.9214 0.2523
Dy 0.7535 0.7535 0.7487
Dy 0.9214 0.5841 0.2523
Bi 0.5000 0.5000 0.0000
Sb 0.0000 0.0000 0.5000
Sb 0.1668 0.8332 0.0000
Sb 0.3347 0.6653 0.5000
Sb 0.6653 0.3347 0.5000
Sb 0.8332 0.1668 0.0000


Question: Number 4 is which compound?
Answer: La5Pr4Nd2